# 1
Theoretical X-ray diffraction stick pattern
Compound: KGaSbSe4
Radiation: Cu Kα (weighted mean of Kα1 and Kα2)
Structure: a cell relaxed with GGA-PBE
Intensities are scaled so that the largest is 100.

Main lines, in order of rising 2θ (15° ≤ 2θ ≤ 90°):
- 2θ = 16.34°, I = 65
- 2θ = 29.62°, I = 100
- 2θ = 31.05°, I = 78
- 2θ = 31.31°, I = 81
- 2θ = 32.98°, I = 71
- 2θ = 42.65°, I = 60

Crystal structure
```
KGaSbSe4
1.0
6.7938 0.0000 0.0000
0.0000 6.8557 0.0000
-3.3765 0.0000 8.8708
K Ga Sb Se
2 2 2 8
Direct
0.2302 0.2500 0.4398 K
0.7698 0.7500 0.5602 K
0.1100 0.2500 0.8265 Ga
0.8900 0.7500 0.1735 Ga
0.3420 0.7500 0.0745 Sb
0.6580 0.2500 0.9255 Sb
0.1003 0.2500 0.0759 Se
0.2544 0.7500 0.3353 Se
0.3247 0.5149 0.7841 Se
0.3247 0.9851 0.7841 Se
0.6753 0.0149 0.2159 Se
0.6753 0.4851 0.2159 Se
0.7456 0.2500 0.6647 Se
0.8997 0.7500 0.9241 Se
```

# 2
Theoretical X-ray diffraction stick pattern
Compound: KGaSnSb3
Radiation: Cu Kα (weighted mean of Kα1 and Kα2)
Structure: a cell relaxed with GGA-PBE
Intensities are scaled so that the largest is 100.

Main lines, in order of rising 2θ (15° ≤ 2θ ≤ 90°):
- 2θ = 27.55°, I = 100
- 2θ = 28.93°, I = 41
- 2θ = 35.95°, I = 16
- 2θ = 42.36°, I = 23
- 2θ = 47.64°, I = 17
- 2θ = 52.11°, I = 16

Crystal structure
```
KGaSnSb3
1.0
8.7629 0.0000 0.0000
0.0000 4.2678 0.0000
-2.0293 0.0000 10.6702
K Ga Sn Sb
2 2 2 6
Direct
0.1702 0.2500 0.1787 K
0.8298 0.7500 0.8213 K
0.1640 0.7500 0.5487 Ga
0.8360 0.2500 0.4513 Ga
0.4508 0.2500 0.8523 Sn
0.5492 0.7500 0.1477 Sn
0.0598 0.2500 0.6669 Sb
0.2654 0.7500 0.9346 Sb
0.4780 0.7500 0.5864 Sb
0.5220 0.2500 0.4136 Sb
0.7346 0.2500 0.0654 Sb
0.9402 0.7500 0.3331 Sb
```

# 3
Theoretical X-ray diffraction stick pattern
Compound: KGa2Se4
Radiation: Cu Kα (weighted mean of Kα1 and Kα2)
Structure: a cell relaxed with GGA-PBE
Intensities are scaled so that the largest is 100.

Main lines, in order of rising 2θ (15° ≤ 2θ ≤ 90°):
- 2θ = 15.13°, I = 74
- 2θ = 15.50°, I = 66
- 2θ = 27.83°, I = 100
- 2θ = 28.25°, I = 100
- 2θ = 35.46°, I = 90
- 2θ = 53.02°, I = 43

Crystal structure
```
KGa2Se4
1.0
3.2226 -5.7175 0.0000
3.2226 5.7175 0.0000
0.0000 0.0000 11.7146
K Ga Se
2 4 8
Direct
0.0000 0.0000 0.2500 K
0.0000 0.0000 0.7500 K
0.2544 0.7446 0.0000 Ga
0.2554 0.7456 0.5000 Ga
0.7446 0.2544 0.5000 Ga
0.7456 0.2554 0.0000 Ga
0.0000 0.5000 0.1569 Se
0.0000 0.5000 0.8431 Se
0.1534 0.3331 0.5000 Se
0.3331 0.1534 0.0000 Se
0.5000 0.0000 0.3431 Se
0.5000 0.0000 0.6569 Se
0.6669 0.8466 0.0000 Se
0.8466 0.6669 0.5000 Se
```

# 4
Theoretical X-ray diffraction stick pattern
Compound: KGaSe2
Radiation: Cu Kα (weighted mean of Kα1 and Kα2)
Structure: a cell relaxed with GGA-PBE
Intensities are scaled so that the largest is 100.

Main lines, in order of rising 2θ (15° ≤ 2θ ≤ 90°):
- 2θ = 16.70°, I = 42
- 2θ = 29.41°, I = 100
- 2θ = 29.75°, I = 64
- 2θ = 30.73°, I = 38
- 2θ = 44.69°, I = 29
- 2θ = 51.75°, I = 36

Crystal structure
```
KGaSe2
1.0
6.0314 0.0000 0.0000
0.0000 4.0558 0.0000
-1.7753 0.0000 19.0679
K Ga Se
4 4 8
Direct
0.2307 0.0005 0.4297 K
0.2307 0.4995 0.9297 K
0.7693 0.5005 0.0703 K
0.7693 0.9995 0.5703 K
0.3410 0.0023 0.1922 Ga
0.3410 0.4977 0.6922 Ga
0.6590 0.5023 0.3078 Ga
0.6590 0.9977 0.8078 Ga
0.2414 0.0012 0.0736 Se
0.2414 0.4988 0.5736 Se
0.2509 0.5024 0.2659 Se
0.2509 0.9976 0.7659 Se
0.7491 0.0024 0.2341 Se
0.7491 0.4976 0.7341 Se
0.7586 0.5012 0.4264 Se
0.7586 0.9988 0.9264 Se
```

# 5
Theoretical X-ray diffraction stick pattern
Compound: K2TbGaSe4
Radiation: Cu Kα (weighted mean of Kα1 and Kα2)
Structure: a cell relaxed with GGA-PBE
Intensities are scaled so that the largest is 100.

Main lines, in order of rising 2θ (15° ≤ 2θ ≤ 90°):
- 2θ = 29.16°, I = 55
- 2θ = 29.74°, I = 100
- 2θ = 41.57°, I = 16
- 2θ = 42.14°, I = 71
- 2θ = 43.52°, I = 18
- 2θ = 53.25°, I = 21

Crystal structure
```
K2TbGaSe4
1.0
6.0078 -6.1246 0.0000
6.0078 6.1246 0.0000
-5.7441 0.0000 6.0152
K Tb Ga Se
4 2 2 8
Direct
0.0000 0.0000 0.0000 K
0.0000 0.0000 0.5000 K
0.0000 0.5000 0.0000 K
0.5000 0.0000 0.5000 K
0.0000 0.5000 0.5000 Tb
0.5000 0.0000 0.0000 Tb
0.5000 0.5000 0.0000 Ga
0.5000 0.5000 0.5000 Ga
0.2665 0.7329 0.9776 Se
0.2671 0.7335 0.5224 Se
0.2867 0.3073 0.5452 Se
0.3073 0.2867 0.0452 Se
0.6927 0.7133 0.9548 Se
0.7133 0.6927 0.4548 Se
0.7329 0.2665 0.4776 Se
0.7335 0.2671 0.0224 Se
```

# 6
Theoretical X-ray diffraction stick pattern
Compound: KGaSi
Radiation: Cu Kα (weighted mean of Kα1 and Kα2)
Structure: a cell relaxed with GGA-PBE
Intensities are scaled so that the largest is 100.

Main lines, in order of rising 2θ (15° ≤ 2θ ≤ 90°):
- 2θ = 16.16°, I = 32
- 2θ = 29.55°, I = 100
- 2θ = 32.66°, I = 33
- 2θ = 43.26°, I = 40
- 2θ = 53.26°, I = 17
- 2θ = 55.23°, I = 38

Crystal structure
```
KGaSi
1.0
4.1813 0.0000 0.0000
0.0000 5.4848 0.0000
0.0000 0.0000 7.2490
K Ga Si
2 2 2
Direct
0.0000 0.0000 0.0000 K
0.5000 0.0000 0.5000 K
0.0000 0.5000 0.3289 Ga
0.0000 0.5000 0.6711 Ga
0.5000 0.5000 0.1615 Si
0.5000 0.5000 0.8385 Si
```

# 7
Theoretical X-ray diffraction stick pattern
Compound: K2SmGaTe4
Radiation: Cu Kα (weighted mean of Kα1 and Kα2)
Structure: a cell relaxed with GGA-PBE
Intensities are scaled so that the largest is 100.

Main lines, in order of rising 2θ (15° ≤ 2θ ≤ 90°):
- 2θ = 26.76°, I = 100
- 2θ = 27.17°, I = 94
- 2θ = 27.78°, I = 76
- 2θ = 38.51°, I = 70
- 2θ = 38.96°, I = 58
- 2θ = 40.43°, I = 37

Crystal structure
```
K2SmGaTe4
1.0
6.4336 -6.6620 0.0000
6.4336 6.6620 0.0000
-6.0548 0.0000 6.5632
K Sm Ga Te
4 2 2 8
Direct
0.0000 0.0000 0.0000 K
0.0000 0.0000 0.5000 K
0.0000 0.5000 0.0000 K
0.5000 0.0000 0.5000 K
0.0000 0.5000 0.5000 Sm
0.5000 0.0000 0.0000 Sm
0.5000 0.5000 0.0000 Ga
0.5000 0.5000 0.5000 Ga
0.2599 0.7356 0.9786 Te
0.2644 0.7401 0.5214 Te
0.2882 0.3076 0.5294 Te
0.3076 0.2882 0.0294 Te
0.6924 0.7118 0.9706 Te
0.7118 0.6924 0.4706 Te
0.7356 0.2599 0.4786 Te
0.7401 0.2644 0.0214 Te
```

# 8
Theoretical X-ray diffraction stick pattern
Compound: KGaSn
Radiation: Cu Kα (weighted mean of Kα1 and Kα2)
Structure: a cell relaxed with GGA-PBE
Intensities are scaled so that the largest is 100.

Main lines, in order of rising 2θ (15° ≤ 2θ ≤ 90°):
- 2θ = 15.25°, I = 48
- 2θ = 29.82°, I = 65
- 2θ = 30.28°, I = 100
- 2θ = 33.26°, I = 49
- 2θ = 35.97°, I = 61
- 2θ = 38.08°, I = 70

Crystal structure
```
KGaSn
1.0
5.8184 -2.4967 0.0000
5.8184 2.4967 0.0000
-5.4740 0.0000 5.8992
K Ga Sn
2 2 2
Direct
0.2481 0.2481 0.1685 K
0.7519 0.7519 0.8315 K
0.0782 0.0782 0.4318 Ga
0.9218 0.9218 0.5682 Ga
0.4139 0.4139 0.7486 Sn
0.5861 0.5861 0.2514 Sn
```

# 9
Theoretical X-ray diffraction stick pattern
Compound: K5Ga2Sn4
Radiation: Cu Kα (weighted mean of Kα1 and Kα2)
Structure: a cell relaxed with GGA-PBE
Intensities are scaled so that the largest is 100.

Main lines, in order of rising 2θ (15° ≤ 2θ ≤ 90°):
- 2θ = 26.78°, I = 95
- 2θ = 28.86°, I = 99
- 2θ = 29.91°, I = 100
- 2θ = 30.38°, I = 63
- 2θ = 37.97°, I = 83
- 2θ = 39.40°, I = 83

Crystal structure
```
K5Ga2Sn4
1.0
-1.8617 5.1441 10.7546
1.8617 -5.1441 10.7546
1.8617 5.1441 -10.7546
K Ga Sn
5 2 4
Direct
0.0000 0.0000 0.0000 K
0.0596 0.3394 0.7202 K
0.3808 0.6606 0.7202 K
0.6192 0.3394 0.2798 K
0.9404 0.6606 0.2798 K
0.4189 0.9189 0.5000 Ga
0.5811 0.0811 0.5000 Ga
0.2908 0.7908 0.5000 Sn
0.3495 0.5000 0.8495 Sn
0.6505 0.5000 0.1505 Sn
0.7092 0.2092 0.5000 Sn
```

# 10
Theoretical X-ray diffraction stick pattern
Compound: KGa2Te4
Radiation: Cu Kα (weighted mean of Kα1 and Kα2)
Structure: a cell relaxed with GGA-PBE
Intensities are scaled so that the largest is 100.

Main lines, in order of rising 2θ (15° ≤ 2θ ≤ 90°):
- 2θ = 26.50°, I = 100
- 2θ = 33.29°, I = 37
- 2θ = 42.28°, I = 26
- 2θ = 44.63°, I = 16
- 2θ = 45.36°, I = 23
- 2θ = 45.98°, I = 22

Crystal structure
```
KGa2Te4
1.0
-4.3071 4.3071 3.4480
4.3071 -4.3071 3.4480
4.3071 4.3071 -3.4480
K Ga Te
1 2 4
Direct
0.0000 0.0000 0.0000 K
0.0000 0.5000 0.5000 Ga
0.5000 0.0000 0.5000 Ga
0.0836 0.9164 0.5000 Te
0.4164 0.5836 0.5000 Te
0.5836 0.0836 0.1671 Te
0.9164 0.4164 0.8329 Te
```